Record 1
Diffraction record for MgZn4Sn4O8. The PXRD pattern is computed, not measured: it uses a DFT-relaxed cell (GGA-PBE, the Materials Project) and Cu Kα X-rays.
Lines closer than 0.1° are merged.

Atomic structure:
abc: 3.2714 9.1354 10.3246
angles: 83.36 86.74 80.66
Element x y z (fractional)
Mg 0.0000 0.0000 0.0000
Zn 0.4381 0.1520 0.2285
Zn 0.4617 0.1566 0.7589
Zn 0.6177 0.7574 0.9402
Zn 0.8146 0.3537 0.9761
Sn 0.1129 0.9409 0.5377
Sn 0.1391 0.5968 0.2013
Sn 0.2706 0.5392 0.7064
Sn 0.9424 0.3204 0.4719
O 0.0581 0.1128 0.3742
O 0.0877 0.7795 0.0529
O 0.3393 0.3452 0.8576
O 0.5214 0.9919 0.8985
O 0.6969 0.5105 0.0975
O 0.7120 0.6305 0.8019
O 0.9099 0.1661 0.1095
O 0.9879 0.1448 0.6432

Peak list (10 most intense, 10° ≤ 2θ ≤ 80°, most intense first)
2θ (°)  I_rel
27.83  100
31.81  85
33.39  49
24.95  49
33.04  48
37.70  47
50.92  35
35.03  28
36.80  27
19.00  26

Record 2
Diffraction record for FeCu4BiPbS6. The PXRD pattern is computed, not measured: it uses a DFT-relaxed cell (GGA-PBE, the Materials Project) and Cu Kα X-rays.
Lines closer than 0.1° are merged.

Atomic structure:
abc: 3.8869 10.8294 12.1193
angles: 90.00 90.00 90.00
Element x y z (fractional)
Fe 0.0000 0.2075 0.0000
Fe 0.0000 0.7925 0.5000
Cu 0.0000 0.0148 0.3945
Cu 0.0000 0.9852 0.8945
Cu 0.5000 0.1219 0.1571
Cu 0.5000 0.2869 0.8622
Cu 0.5000 0.4793 0.5950
Cu 0.5000 0.5207 0.0950
Cu 0.5000 0.7131 0.3622
Cu 0.5000 0.8781 0.6571
Bi 0.0000 0.3481 0.3133
Bi 0.0000 0.6519 0.8133
Pb 0.5000 0.1926 0.5964
Pb 0.5000 0.8074 0.0964
S 0.0000 0.0239 0.0879
S 0.0000 0.1803 0.8128
S 0.0000 0.3880 0.5278
S 0.0000 0.6120 0.0278
S 0.0000 0.8197 0.3128
S 0.0000 0.9761 0.5879
S 0.5000 0.1316 0.3500
S 0.5000 0.3106 0.0562
S 0.5000 0.4791 0.7828
S 0.5000 0.5209 0.2828
S 0.5000 0.6894 0.5562
S 0.5000 0.8684 0.8500

Peak list (10 most intense, 10° ≤ 2θ ≤ 80°, most intense first)
2θ (°)  I_rel
33.90  100
29.23  90
27.26  81
28.79  69
46.72  63
41.31  61
29.48  61
25.43  56
23.50  46
45.52  37

Record 3
Diffraction record for Na2ZnSn2S6. The PXRD pattern is computed, not measured: it uses a DFT-relaxed cell (GGA-PBE, the Materials Project) and Cu Kα X-rays.
Lines closer than 0.1° are merged.

Atomic structure:
abc: 12.5574 7.5647 13.6882
angles: 65.19 33.15 81.66
Element x y z (fractional)
Na 0.1221 0.8779 0.2830
Na 0.5330 0.9670 0.3721
Na 0.8779 0.1221 0.7170
Na 0.9670 0.5330 0.1279
Zn 0.2388 0.2388 0.7612
Zn 0.4888 0.4888 0.0112
Sn 0.4985 0.5229 0.7243
Sn 0.5229 0.4985 0.2543
Sn 0.5257 0.9957 0.7515
Sn 0.9957 0.5257 0.7271
S 0.1733 0.9411 0.9836
S 0.2664 0.3479 0.0767
S 0.2928 0.5510 0.7399
S 0.3479 0.2664 0.3089
S 0.3786 0.7591 0.3499
S 0.5101 0.8338 0.9572
S 0.5510 0.2928 0.4162
S 0.7376 0.9001 0.4909
S 0.7591 0.3786 0.5124
S 0.8338 0.5101 0.6990
S 0.9001 0.7376 0.8714
S 0.9411 0.1733 0.9021

Peak list (10 most intense, 10° ≤ 2θ ≤ 80°, most intense first)
2θ (°)  I_rel
14.18  100
28.59  41
26.07  34
29.49  33
14.77  28
23.82  28
23.08  22
48.76  21
40.90  16
30.96  15

Record 4
Diffraction record for K3Li. The PXRD pattern is computed, not measured: it uses a DFT-relaxed cell (GGA-PBE, the Materials Project) and Cu Kα X-rays.
Lines closer than 0.1° are merged.

Atomic structure:
abc: 6.1014 6.1014 12.4743
angles: 90.00 90.00 90.00
Element x y z (fractional)
K 0.0000 0.0000 0.0000
K 0.0000 0.5000 0.2500
K 0.0000 0.5000 0.7500
K 0.5000 0.0000 0.2500
K 0.5000 0.0000 0.7500
K 0.5000 0.5000 0.5000
Li 0.0000 0.0000 0.5000
Li 0.5000 0.5000 0.0000

Peak list (10 most intense, 10° ≤ 2θ ≤ 80°, most intense first)
2θ (°)  I_rel
25.10  100
29.28  33
49.45  28
41.40  23
16.17  23
28.62  17
48.61  14
51.51  11
41.88  11
66.06  10

Record 5
Diffraction record for MnAlCu2. The PXRD pattern is computed, not measured: it uses a DFT-relaxed cell (GGA-PBE, the Materials Project) and Cu Kα X-rays.
Lines closer than 0.1° are merged.

Atomic structure:
abc: 5.9216 5.9216 5.9216
angles: 90.00 90.00 90.00
Element x y z (fractional)
Mn 0.0000 0.0000 0.0000
Mn 0.0000 0.5000 0.5000
Mn 0.5000 0.0000 0.5000
Mn 0.5000 0.5000 0.0000
Al 0.0000 0.0000 0.5000
Al 0.0000 0.5000 0.0000
Al 0.5000 0.0000 0.0000
Al 0.5000 0.5000 0.5000
Cu 0.2500 0.2500 0.2500
Cu 0.2500 0.2500 0.7500
Cu 0.2500 0.7500 0.2500
Cu 0.2500 0.7500 0.7500
Cu 0.7500 0.2500 0.2500
Cu 0.7500 0.2500 0.7500
Cu 0.7500 0.7500 0.2500
Cu 0.7500 0.7500 0.7500

Peak list (9 most intense, 10° ≤ 2θ ≤ 80°, most intense first)
2θ (°)  I_rel
43.21  100
79.25  29
62.77  15
30.18  8
26.06  5
71.21  3
53.61  2
51.16  2
69.15  1

Record 6
Diffraction record for TaSiAs. The PXRD pattern is computed, not measured: it uses a DFT-relaxed cell (GGA-PBE, the Materials Project) and Cu Kα X-rays.
Lines closer than 0.1° are merged.

Atomic structure:
abc: 3.5206 3.5206 7.9142
angles: 90.00 90.00 90.00
Element x y z (fractional)
Ta 0.2500 0.2500 0.2461
Ta 0.7500 0.7500 0.7539
Si 0.2500 0.7500 0.5000
Si 0.7500 0.2500 0.5000
As 0.2500 0.2500 0.8887
As 0.7500 0.7500 0.1113

Peak list (10 most intense, 10° ≤ 2θ ≤ 80°, most intense first)
2θ (°)  I_rel
42.87  100
27.73  54
36.08  43
69.53  29
22.47  25
51.95  24
59.90  13
64.55  13
37.89  12
34.09  9

Record 7
Diffraction record for P3W. The PXRD pattern is computed, not measured: it uses a DFT-relaxed cell (GGA-PBE, the Materials Project) and Cu Kα X-rays.
Lines closer than 0.1° are merged.

Atomic structure:
abc: 6.0694 6.0694 6.0694
angles: 90.00 90.00 90.00
Element x y z (fractional)
P 0.0000 0.0000 0.0000
P 0.0000 0.5000 0.5000
P 0.2500 0.2500 0.2500
P 0.2500 0.2500 0.7500
P 0.2500 0.7500 0.2500
P 0.2500 0.7500 0.7500
P 0.5000 0.0000 0.5000
P 0.5000 0.5000 0.0000
P 0.7500 0.2500 0.2500
P 0.7500 0.2500 0.7500
P 0.7500 0.7500 0.2500
P 0.7500 0.7500 0.7500
W 0.0000 0.0000 0.5000
W 0.0000 0.5000 0.0000
W 0.5000 0.0000 0.0000
W 0.5000 0.5000 0.5000

Peak list (9 most intense, 10° ≤ 2θ ≤ 80°, most intense first)
2θ (°)  I_rel
42.11  100
25.42  76
29.43  40
49.83  39
76.96  34
61.07  16
67.24  16
69.23  15
52.21  11